Diffraction record for Li2Cu5Ge3. The X-ray diffraction stick pattern is calculated, not measured: it uses a structure optimized by DFT (GGA-PBE) and Cu Kα.

Largest 10 diffraction maxima, by angle, 2θ = 10–90°:
- 2θ 15.0, I = 59
- 2θ 22.3, I = 49
- 2θ 33.0, I = 56
- 2θ 39.6, I = 34
- 2θ 41.1, I = 46
- 2θ 42.2, I = 44
- 2θ 42.6, I = 58
- 2θ 43.9, I = 100
- 2θ 49.4, I = 34
- 2θ 50.3, I = 33

Structure:
Unit cell a=7.5127 b=7.5127 c=5.1466 alpha=94.52 beta=94.52 gamma=103.73
Positions (direct):
Li 0.1189 0.6342 0.8843
Li 0.3658 0.8811 0.6157
Li 0.6342 0.1189 0.3843
Li 0.8811 0.3658 0.1157
Cu 0.0344 0.9656 0.7500
Cu 0.2128 0.2812 0.9876
Cu 0.2326 0.5303 0.3607
Cu 0.2812 0.2128 0.4876
Cu 0.4697 0.7674 0.1393
Cu 0.5303 0.2326 0.8607
Cu 0.7188 0.7872 0.5124
Cu 0.7674 0.4697 0.6393
Cu 0.7872 0.7188 0.0124
Cu 0.9656 0.0344 0.2500
Ge 0.0134 0.7142 0.3894
Ge 0.2858 0.9866 0.1106
Ge 0.4583 0.5417 0.7500
Ge 0.5417 0.4583 0.2500
Ge 0.7142 0.0134 0.8894
Ge 0.9866 0.2858 0.6106